Simulated powder diffractogram
Compound: Rb3V2PbF9
Radiation: Cu Kα, 1.54184 Å
Structure: a DFT-relaxed cell (GGA+U, Alexandria)
Peak positions follow from Bragg's law for the DFT cell and can differ from measured ones.

Main lines, in order of rising 2θ (10° ≤ 2θ ≤ 90°):
16.35 deg, 5.421 Å, rel. 25, hkl 1 0 0
19.91 deg, 4.458 Å, rel. 32, hkl 0 1 1
28.10 deg, 3.176 Å, rel. 100, hkl 0 1 2
28.52 deg, 3.130 Å, rel. 87, hkl 1 1 0
40.46 deg, 2.229 Å, rel. 75, hkl 2 0 2
50.25 deg, 1.816 Å, rel. 39, hkl 1 2 2

Cell and atoms:
Lattice parameters (Å, degrees): 6.2592 6.2592 7.8382 90.00 90.00 120.00
Space group P-3m1 (No. 164)
Asymmetric unit:
Rb (0.0000, 0.0000, 0.0000) x1
Rb (0.3333, 0.6667, 0.6879) x2
V (0.3333, 0.6667, 0.1513) x2
Pb (0.0000, 0.0000, 0.5000) x1
F (0.0000, 0.5000, 0.0000) x3
F (0.1762, 0.3525, 0.3097) x6